Diffraction record for Li6Mg2Ag3. The X-ray powder pattern is theoretical, not measured: it uses a structure optimized by DFT (GGA-PBE) and Cu Kα.
Intensities are scaled so that the largest is 100.

Structure:
```
Li6Mg2Ag3
1.0
-1.887 1.887 14.345
1.887 -1.887 14.345
1.887 1.887 -14.345
Li Mg Ag
6 2 3
direct
0.164 0.664 0.500
0.245 0.245 0.000
0.336 0.836 0.500
0.664 0.164 0.500
0.755 0.755 0.000
0.836 0.336 0.500
0.444 0.444 0.000
0.556 0.556 0.000
0.000 0.000 0.000
0.097 0.097 0.000
0.903 0.903 0.000
```

Principal peaks in the range 2θ from 5° to 70°, low angle first:
d (Å)  Position (°2θ)  Rel. int.
14.345  6.16  100
3.742  23.78  30
2.869  31.17  4
2.669  33.58  15
2.624  34.17  10
2.435  36.91  16
2.145  42.12  15
1.954  46.47  7
1.887  48.22  6
1.685  54.45  6
1.492  62.23  7
1.417  65.91  6

=====

Diffraction record for Nd3Tl3Cu2. The X-ray powder pattern is theoretical, not measured: it uses a structure optimized by DFT (GGA-PBE) and Cu Kα.
Intensities are scaled so that the largest is 100.

Structure:
```
Nd3Tl3Cu2
1.0
4.470 0.000 0.000
-0.006 5.226 0.000
-2.228 -1.828 8.752
Nd Tl Cu
3 3 2
direct
0.000 0.000 0.000
0.159 0.601 0.318
0.841 0.399 0.682
0.360 0.894 0.720
0.500 0.500 0.000
0.640 0.106 0.280
0.236 0.148 0.473
0.764 0.852 0.527
```

Principal peaks in the range 2θ from 5° to 70°, low angle first:
d (Å)  Position (°2θ)  Rel. int.
3.102  28.78  37
2.917  30.65  24
2.759  32.45  100
2.606  34.41  94
2.235  40.36  31
2.188  41.26  11
1.774  51.51  12
1.696  54.09  19
1.594  57.86  12
1.567  58.92  13
1.560  59.23  16
1.371  68.41  12

=====

Diffraction record for Dy6Pd2Pt. The X-ray powder pattern is theoretical, not measured: it uses a structure optimized by DFT (GGA-PBE) and Cu Kα.
Intensities are scaled so that the largest is 100.

Structure:
```
Dy6Pd2Pt
1.0
6.566 0.000 0.000
0.000 7.284 0.000
-6.112 0.000 10.173
Dy Pd Pt
12 4 2
direct
0.087 0.187 0.431
0.087 0.313 0.931
0.253 0.670 0.427
0.253 0.830 0.927
0.403 0.042 0.243
0.403 0.458 0.743
0.597 0.542 0.257
0.597 0.958 0.757
0.747 0.170 0.073
0.747 0.330 0.573
0.913 0.687 0.069
0.913 0.813 0.569
0.173 0.117 0.734
0.173 0.383 0.234
0.827 0.617 0.766
0.827 0.883 0.266
0.500 0.000 0.500
0.500 0.500 0.000
```

Principal peaks in the range 2θ from 5° to 70°, low angle first:
d (Å)  Position (°2θ)  Rel. int.
3.070  29.09  27
3.058  29.21  65
2.991  29.88  38
2.959  30.20  100
2.901  30.82  86
2.828  31.64  28
2.741  32.67  31
2.726  32.86  35
2.482  36.20  29
2.277  39.58  44
1.966  46.16  28
1.908  47.66  33

=====

Diffraction record for EuTmGe2. The X-ray powder pattern is theoretical, not measured: it uses a structure optimized by DFT (GGA-PBE) and Cu Kα.
Intensities are scaled so that the largest is 100.

Structure:
```
EuTmGe2
1.0
3.797 0.000 0.000
0.000 3.797 0.000
0.000 0.000 6.661
Eu Tm Ge
1 1 2
direct
0.000 0.000 0.000
0.000 0.000 0.500
0.500 0.500 0.297
0.500 0.500 0.703
```

Principal peaks in the range 2θ from 5° to 70°, low angle first:
d (Å)  Position (°2θ)  Rel. int.
6.661  13.29  5
3.797  23.43  21
3.331  26.77  10
2.685  33.37  68
2.504  35.86  100
2.090  43.28  11
1.899  47.91  25
1.665  55.15  5
1.649  55.73  6
1.525  60.73  8
1.513  61.27  42
1.415  66.02  12

=====

Diffraction record for Mo2RhPb. The X-ray powder pattern is theoretical, not measured: it uses a structure optimized by DFT (GGA-PBE) and Cu Kα.
Intensities are scaled so that the largest is 100.

Structure:
```
Mo2RhPb
1.0
9.710 0.000 0.000
0.000 3.138 0.000
-1.066 0.000 4.611
Mo Rh Pb
4 2 2
direct
0.242 0.000 0.208
0.258 0.500 0.792
0.742 0.500 0.208
0.758 0.000 0.792
0.000 0.500 0.000
0.500 0.000 0.000
0.000 0.000 0.500
0.500 0.500 0.500
```

Principal peaks in the range 2θ from 5° to 70°, low angle first:
d (Å)  Position (°2θ)  Rel. int.
4.730  18.76  14
2.981  29.98  18
2.425  37.08  100
2.365  38.05  48
2.285  39.43  41
2.141  42.21  72
1.910  47.61  22
1.889  48.17  11
1.569  58.86  13
1.464  63.53  13
1.444  64.53  18
1.407  66.44  15

=====

Diffraction record for Ho2ThScBi4. The X-ray powder pattern is theoretical, not measured: it uses a structure optimized by DFT (GGA-PBE) and Cu Kα.
Intensities are scaled so that the largest is 100.

Structure:
```
Ho2ThScBi4
1.0
7.699 0.000 0.000
0.000 4.470 0.000
-2.582 0.000 7.286
Ho Th Sc Bi
2 1 1 4
direct
0.000 0.000 0.000
0.500 0.500 0.000
0.000 0.500 0.500
0.500 0.000 0.500
0.262 0.000 0.753
0.262 0.500 0.255
0.738 0.000 0.247
0.738 0.500 0.745
```

Principal peaks in the range 2θ from 5° to 70°, low angle first:
d (Å)  Position (°2θ)  Rel. int.
3.808  23.36  3
3.645  24.42  4
3.153  28.31  100
2.892  30.92  3
2.233  40.39  40
2.226  40.53  38
1.822  50.05  21
1.814  50.29  7
1.576  58.55  13
1.412  66.16  13
1.411  66.24  6
1.408  66.39  18

=====

Diffraction record for Pm6MgSn2. The X-ray powder pattern is theoretical, not measured: it uses a structure optimized by DFT (GGA-PBE) and Cu Kα.
Intensities are scaled so that the largest is 100.

Structure:
```
Pm6MgSn2
1.0
8.740 0.000 0.000
-4.370 7.569 0.000
0.000 0.000 4.268
Pm Mg Sn
6 1 2
direct
0.000 0.401 0.000
0.000 0.719 0.500
0.281 0.281 0.500
0.401 0.000 0.000
0.599 0.599 0.000
0.719 0.000 0.500
0.000 0.000 0.000
0.333 0.667 0.500
0.667 0.333 0.500
```

Principal peaks in the range 2θ from 5° to 70°, low angle first:
d (Å)  Position (°2θ)  Rel. int.
3.053  29.25  100
2.861  31.27  37
2.832  31.60  45
2.523  35.58  41
2.134  42.35  17
2.099  43.09  13
1.945  46.71  10
1.884  48.32  10
1.711  53.58  16
1.629  56.48  22
1.608  57.28  24
1.427  65.42  10

=====

Diffraction record for PrDySc3. The X-ray powder pattern is theoretical, not measured: it uses a structure optimized by DFT (GGA-PBE) and Cu Kα.
Intensities are scaled so that the largest is 100.

Structure:
```
PrDySc3
1.0
10.390 -1.742 0.000
10.390 1.742 0.000
-2.209 0.000 7.768
Pr Dy Sc
2 2 6
direct
0.182 0.182 0.376
0.818 0.818 0.624
0.391 0.391 0.995
0.609 0.609 0.005
0.017 0.017 0.238
0.215 0.215 0.825
0.419 0.419 0.411
0.581 0.581 0.589
0.785 0.785 0.175
0.983 0.983 0.762
```

Principal peaks in the range 2θ from 5° to 70°, low angle first:
d (Å)  Position (°2θ)  Rel. int.
7.154  12.37  46
4.849  18.30  42
3.086  28.93  38
3.003  29.76  38
2.960  30.19  30
2.726  32.85  66
2.634  34.04  96
2.626  34.14  100
2.609  34.38  41
2.593  34.59  51
1.717  53.36  33
1.449  64.29  29

=====

Diffraction record for NaCd2In5Sn. The X-ray powder pattern is theoretical, not measured: it uses a structure optimized by DFT (GGA-PBE) and Cu Kα.
Intensities are scaled so that the largest is 100.

Structure:
```
NaCd2In5Sn
1.0
7.488 0.000 0.000
0.000 7.488 0.000
0.000 0.000 8.942
Na Cd In Sn
2 4 10 2
direct
0.000 0.500 0.000
0.500 0.000 0.000
0.129 0.371 0.500
0.371 0.871 0.500
0.629 0.129 0.500
0.871 0.629 0.500
0.000 0.000 0.500
0.219 0.719 0.224
0.219 0.719 0.776
0.281 0.219 0.224
0.281 0.219 0.776
0.500 0.500 0.500
0.719 0.781 0.224
0.719 0.781 0.776
0.781 0.281 0.224
0.781 0.281 0.776
0.000 0.000 0.000
0.500 0.500 0.000
```

Principal peaks in the range 2θ from 5° to 70°, low angle first:
d (Å)  Position (°2θ)  Rel. int.
8.942  9.89  13
3.136  28.46  22
2.981  29.98  11
2.870  31.16  100
2.680  33.43  42
2.647  33.86  40
2.368  38.00  20
2.235  40.35  21
2.092  43.24  15
1.708  53.66  16
1.625  56.62  12
1.568  58.90  23

=====

Diffraction record for Sm4Ti4S4O9. The X-ray powder pattern is theoretical, not measured: it uses a structure optimized by DFT (GGA-PBE) and Cu Kα.
Intensities are scaled so that the largest is 100.

Structure:
```
Sm4Ti4S4O9
1.0
9.061 -1.850 0.000
9.061 1.850 0.000
-8.874 0.000 9.257
Sm Ti S O
4 4 4 9
direct
0.000 0.000 0.000
0.013 0.013 0.468
0.288 0.288 0.132
0.312 0.312 0.623
0.038 0.038 0.774
0.276 0.276 0.854
0.591 0.591 0.342
0.721 0.721 0.278
0.464 0.464 0.592
0.610 0.610 0.966
0.694 0.694 0.662
0.862 0.862 0.042
0.119 0.119 0.410
0.172 0.172 0.854
0.195 0.195 0.215
0.388 0.388 0.871
0.476 0.476 0.327
0.567 0.567 0.176
0.747 0.747 0.447
0.832 0.832 0.283
0.922 0.922 0.749
```

Principal peaks in the range 2θ from 5° to 70°, low angle first:
d (Å)  Position (°2θ)  Rel. int.
6.410  13.81  64
4.530  19.60  55
3.560  25.01  40
3.270  27.27  57
3.120  28.61  100
2.939  30.41  62
2.854  31.34  40
2.821  31.72  94
2.585  34.70  49
2.569  34.93  69
2.375  37.88  67
1.850  49.25  48

=====

Diffraction record for Ca2Nd4Sm5. The X-ray powder pattern is theoretical, not measured: it uses a structure optimized by DFT (GGA-PBE) and Cu Kα.
Intensities are scaled so that the largest is 100.

Structure:
```
Ca2Nd4Sm5
1.0
6.396 0.000 0.000
-1.071 8.153 0.000
-2.155 -2.784 7.462
Ca Nd Sm
2 4 5
direct
0.134 0.229 0.045
0.866 0.771 0.955
0.049 0.408 0.672
0.234 0.046 0.421
0.766 0.954 0.579
0.951 0.592 0.328
0.324 0.861 0.766
0.416 0.686 0.141
0.500 0.500 0.500
0.584 0.314 0.859
0.676 0.139 0.234
```

Principal peaks in the range 2θ from 5° to 70°, low angle first:
d (Å)  Position (°2θ)  Rel. int.
7.462  11.86  8
3.011  29.67  100
3.001  29.77  33
2.605  34.42  67
1.846  49.38  16
1.843  49.46  16
1.839  49.58  16
1.574  58.64  14
1.571  58.77  28
1.569  58.88  10
1.567  58.93  5
1.504  61.66  8